Simulated XRD peak list
Compound: AlH3O3
Radiation: Cu Kα (weighted mean of Kα1 and Kα2)
Structure: a cell relaxed with PBE

Structural model:
```
AlH3O3
1.0
9.0252 0.0000 0.0000
0.0000 5.2141 0.0000
-8.8304 0.0000 9.5810
Al H O
8 24 24
Cartesian
0.0000 1.2552 0.0000
-4.4152 3.9588 4.7905
-5.8161 1.2941 9.5809
-1.4009 3.9199 4.7904
0.1048 1.3010 4.7910
4.5200 3.9130 0.0005
3.1066 1.3337 4.7891
-1.3086 3.8804 9.5796
-1.4570 2.1505 1.8908
-5.8722 3.0636 6.6813
-2.7900 0.3139 3.6513
-7.2052 4.9002 8.4418
-4.4003 0.4678 6.6595
0.0149 4.7462 1.8690
-2.0195 1.8234 4.2554
-6.4347 3.3907 9.0459
1.4984 2.1279 1.8817
-2.9168 3.0861 6.6722
-3.6630 0.7796 8.9595
0.7523 4.4345 4.1690
-1.1974 0.3040 6.7029
3.2178 4.9101 1.9124
-2.8331 2.3105 8.9490
1.5821 2.9036 4.1585
-1.8950 0.7955 8.4050
2.5202 4.4186 3.6145
4.4542 2.2241 1.9092
0.0390 2.9899 6.6997
1.6441 0.5806 6.6832
6.0593 4.6335 1.8927
5.2296 1.8510 4.0372
0.8144 3.3630 8.8277
-7.2786 0.6522 8.4526
-2.8634 4.5619 3.6621
-4.5773 0.3777 5.6934
-0.1621 4.8364 0.9029
-1.2861 2.2109 3.7345
-5.7013 3.0031 8.5250
1.4950 1.9620 0.9077
-2.9202 3.2521 5.6982
-4.4178 0.3642 8.4996
-0.0026 4.8499 3.7091
-1.2251 0.3299 5.7144
3.1902 4.8842 0.9239
1.5983 2.0390 3.7045
-2.8169 3.1751 8.4951
4.3382 2.2741 0.9263
-0.0770 2.9399 5.7168
-1.0778 0.2763 8.4402
3.3374 4.9378 3.6497
1.6150 0.6408 5.6971
6.0302 4.5733 0.9066
4.4408 2.3069 3.6945
0.0255 2.9071 8.4850
7.6799 2.2272 0.9138
3.2647 2.9869 5.7043
```

The 8 most intense peaks (2θ from 15° to 90°), in order of rising 2θ:
(0 0 2), 18.5°, I = 100; (2 0 -2), 19.7°, I = 57; (0 2 1), 35.7°, I = 16; (3 1 -4), 35.9°, I = 19; (3 1 0), 44.5°, I = 16; (3 1 1), 51.4°, I = 15; (3 1 -7), 52.3°, I = 15; (6 0 -6), 61.6°, I = 25